Starting from a cell relaxed with PBE+U, the powder XRD pattern of Rb4Nd3MoO8 was calculated for Cu Kα (weighted mean of Kα1 and Kα2).
Intensities are scaled so that the largest is 100.

Peak list (12 most intense, 15 to 90 degrees two-theta, by angle)
2θ (°), Rel. int.
27.16, 39
30.15, 79
34.11, 100
47.08, 35
50.89, 32
55.20, 19
58.63, 28
60.30, 12
62.69, 16
79.06, 13
82.74, 10
84.86, 14

Structural model:
Cell lengths 7.765, 7.765, 7.765 Å; angles 55.05, 55.05, 55.05 degrees
Sites, in units of the cell vectors:
Rb: 0.000 0.000 0.000
Rb: 0.000 0.500 0.500
Rb: 0.500 0.000 0.500
Rb: 0.500 0.500 0.000
Nd: 0.000 0.000 0.500
Nd: 0.000 0.500 0.000
Nd: 0.500 0.000 0.000
Mo: 0.500 0.500 0.500
O: 0.228 0.228 0.228
O: 0.241 0.718 0.718
O: 0.282 0.282 0.759
O: 0.282 0.759 0.282
O: 0.718 0.241 0.718
O: 0.718 0.718 0.241
O: 0.759 0.282 0.282
O: 0.772 0.772 0.772